This entry pairs a crystal structure of Ti2Se3 with its theoretical powder diffraction line list. Radiation: Cu Kα (λ = 1.5418 Å). Structure: the GGA-PBE geometry in Alexandria.
Kinematic intensities with the Lorentz-polarization factor, no thermal factor.

Largest 8 diffraction maxima, sorted by position, 2θ from 10° to 90°:
hkl 2 -1 2, 2θ = 32.3°, rel. 100
hkl 1 1 4, 2θ = 41.6°, rel. 49
hkl 3 0 0, 2θ = 50.7°, rel. 33
hkl 1 1 6, 2θ = 54.2°, rel. 21
hkl 0 0 8, 2θ = 61.4°, rel. 21
hkl 4 -2 4, 2θ = 67.6°, rel. 11
hkl 3 0 8, 2θ = 83.5°, rel. 27
hkl 4 1 4, 2θ = 89.2°, rel. 10

Structure:
abc: 6.2387 6.2387 12.0903
angles: 90.00 90.00 120.00
Fractional positions:
Ti 0.0000 0.0000 0.0000
Ti 0.0000 0.0000 0.5000
Ti 0.3333 0.6667 0.0053
Ti 0.3333 0.6667 0.2500
Ti 0.3333 0.6667 0.4947
Ti 0.6667 0.3333 0.5053
Ti 0.6667 0.3333 0.7500
Ti 0.6667 0.3333 0.9947
Se 0.0068 0.3333 0.6287
Se 0.0068 0.6735 0.8713
Se 0.3265 0.3333 0.8713
Se 0.3265 0.9932 0.6287
Se 0.3333 0.0068 0.1287
Se 0.3333 0.3265 0.3713
Se 0.6667 0.6735 0.6287
Se 0.6667 0.9932 0.8713
Se 0.6735 0.0068 0.3713
Se 0.6735 0.6667 0.1287
Se 0.9932 0.3265 0.1287
Se 0.9932 0.6667 0.3713